For SrCaSmFeO6, DFT lattice parameters and positions (GGA+U) gives the calculated powder diffractogram in this record (Cu Kα (weighted mean of Kα1 and Kα2)).
No peak broadening, texture or thermal motion is included.

Cell and atoms:
```
10
Lattice="0.0000 4.0151 4.0151 4.0151 0.0000 4.0151 4.0151 4.0151 0.0000" Properties=species:S:1:pos:R:3 pbc="T T T"
Sr 0.0000 0.0000 0.0000
Ca 2.0075 2.0075 2.0075
Sm 4.0151 4.0151 4.0151
Fe 6.0226 6.0226 6.0226
O 6.0226 6.0226 4.1716
O 6.0226 4.1716 6.0226
O 7.8737 6.0226 6.0226
O 4.1716 6.0226 6.0226
O 6.0226 7.8737 6.0226
O 6.0226 6.0226 7.8737
```

The 12 most intense peaks (10 to 90 degrees two-theta), most intense first:
2θ (°), I/Imax
31.51, 100
56.11, 38
45.16, 35
38.85, 21
65.79, 20
74.77, 17
22.14, 12
19.14, 11
50.85, 7
83.38, 7
79.11, 7
37.13, 5